Starting from a PBE+U-relaxed structure, the powder X-ray diffraction pattern of LiVHgO4 was computed for Cu Ka.
No peak broadening, texture or thermal motion is included.

Most intense lines, 2θ from 5° to 70°, in order of falling intensity:
31.77°, rel. 100; 16.81°, rel. 90; 26.98°, rel. 44; 33.57°, rel. 42; 20.29°, rel. 41; 43.78°, rel. 31; 57.60°, rel. 26; 38.37°, rel. 21; 50.77°, rel. 20; 43.44°, rel. 17

Cell and atoms:
```
14
Lattice="3.304 -4.377 0.000 3.304 4.377 0.000 0.000 0.000 6.663" Properties=species:S:1:pos:R:3 pbc="T T T"
Li 3.304 2.992 4.997
Li 3.304 -2.992 1.666
V 3.304 3.086 1.666
V 3.304 -3.086 4.997
Hg 3.304 0.000 0.000
Hg 3.304 0.000 3.331
O 1.339 0.196 4.997
O 1.339 -0.196 1.666
O 3.304 2.141 0.163
O 3.304 2.141 3.169
O 3.304 -2.141 3.494
O 3.304 -2.141 6.500
O 5.270 0.196 4.997
O 5.270 -0.196 1.666
```